Na5B8C2: simulated PXRD pattern (a wavelength of 1.5418 Å), based on a cell relaxed with GGA-PBE.

Cell and atoms:
Cell lengths 18.0931, 2.8206, 13.6880 Å; angles 90.00, 112.57, 90.00 degrees
Space group Cm (No. 8)
Unique sites:
Na  0.0000  0.0000  0.0000
Na  0.0000  0.0000  0.4996
Na  0.1005  0.5000  0.1997
Na  0.1010  0.5000  0.7013
Na  0.2003  0.0000  0.3988
Na  0.2019  0.0000  0.9001
Na  0.2986  0.5000  0.0982
Na  0.3000  0.5000  0.5992
Na  0.3991  0.0000  0.2984
Na  0.3996  0.0000  0.8009
B  0.0308  0.0000  0.3097
B  0.0360  0.0000  0.8219
B  0.0732  0.5000  0.3946
B  0.0777  0.5000  0.9050
B  0.1385  0.5000  0.5261
B  0.1677  0.0000  0.0844
B  0.2289  0.0000  0.7075
B  0.2593  0.5000  0.2671
B  0.2689  0.5000  0.7882
B  0.3255  0.5000  0.4010
B  0.3342  0.5000  0.9196
B  0.3661  0.0000  0.4819
B  0.4246  0.0000  0.0993
B  0.4302  0.0000  0.6096
B  0.4677  0.5000  0.1840
B  0.4732  0.5000  0.6961
C  0.1368  0.5000  0.0227
C  0.1693  0.0000  0.5879
C  0.2292  0.0000  0.2064
C  0.3656  0.0000  0.9828

Principal peaks in the range 2θ from 15° to 90°, by angle:
index	2θ/deg	I/Imax
2 0 4	33.96	14
1 1 2	36.10	16
2 0 -6	39.92	24
6 0 2	40.08	24
8 0 -4	41.70	38
5 1 0	41.87	100
3 1 6	62.18	17
0 2 0	66.28	9
5 1 -10	77.52	8
11 1 2	77.84	8

***

Na10B17C3: simulated PXRD pattern (a wavelength of 1.5418 Å), based on a cell relaxed with GGA-PBE.

Cell and atoms:
Cell lengths 23.5802, 2.8264, 10.2149 Å; angles 90.00, 105.72, 90.00 degrees
Space group Cm (No. 8)
Unique sites:
Na  0.0000  0.0000  0.0000
Na  0.9996  0.5000  0.4991
Na  0.0996  0.0000  0.6975
Na  0.1017  0.5000  0.2012
Na  0.2001  0.5000  0.8995
Na  0.2011  0.0000  0.4008
Na  0.2993  0.5000  0.5990
Na  0.3005  0.0000  0.1031
Na  0.3989  0.0000  0.7990
Na  0.4004  0.5000  0.3018
B  0.0144  0.5000  0.7773
B  0.0241  0.0000  0.2989
B  0.0773  0.5000  0.9035
B  0.1124  0.5000  0.4743
B  0.1203  0.0000  0.9909
B  0.1775  0.5000  0.6035
B  0.1839  0.0000  0.1183
B  0.2160  0.0000  0.6802
B  0.2247  0.5000  0.2004
B  0.2793  0.0000  0.8067
B  0.2915  0.5000  0.3336
B  0.3191  0.5000  0.8880
B  0.3813  0.5000  0.0137
B  0.3829  0.0000  0.5158
B  0.4219  0.0000  0.0956
B  0.4728  0.5000  0.6945
B  0.4846  0.0000  0.2205
C  0.0827  0.0000  0.4156
C  0.3219  0.0000  0.3943
C  0.4140  0.5000  0.5773

Principal peaks in the range 2θ from 15° to 90°, by angle:
index	2θ/deg	I/Imax
6 0 2	33.58	16
3 1 1	35.95	19
2 0 4	39.56	28
10 0 0	39.71	28
8 0 -4	41.64	100
7 1 -1	41.75	57
9 1 3	61.59	20
1 1 7	76.92	10
17 1 -1	77.22	10
10 2 0	79.92	11

***

Na5B8C2: simulated PXRD pattern (a wavelength of 1.5418 Å), based on a cell relaxed with GGA-PBE.

Cell and atoms:
Cell lengths 8.6558, 2.8245, 26.3619 Å; angles 90.00, 90.00, 90.00 degrees
Space group Amm2 (No. 38)
Unique sites:
Na  0.2462  0.0000  0.0000
Na  0.2492  0.0000  0.5989
Na  0.2497  0.0000  0.3982
Na  0.2500  0.0000  0.7969
Na  0.2521  0.0000  0.1972
B  0.0000  0.0000  0.0703
B  0.0000  0.0000  0.1358
B  0.0000  0.0000  0.2631
B  0.0000  0.0000  0.3257
B  0.0000  0.0000  0.4687
B  0.0000  0.0000  0.5333
B  0.0000  0.0000  0.7239
B  0.0000  0.0000  0.8667
B  0.0000  0.0000  0.9295
B  0.5000  0.0000  0.0686
B  0.5000  0.0000  0.2561
B  0.5000  0.0000  0.3249
B  0.5000  0.0000  0.4771
B  0.5000  0.0000  0.6619
B  0.5000  0.0000  0.8683
B  0.5000  0.0000  0.9331
C  0.0000  0.0000  0.6649
C  0.5000  0.0000  0.1307
C  0.5000  0.0000  0.5367
C  0.5000  0.0000  0.7250

Principal peaks in the range 2θ from 15° to 90°, by angle:
index	2θ/deg	I/Imax
0 0 10	34.01	13
0 1 5	36.07	17
2 0 10	40.05	50
4 0 0	41.74	38
2 1 5	41.86	100
4 1 5	56.33	10
0 1 15	62.21	17
0 2 0	66.19	10
6 1 5	76.28	13
4 1 15	77.74	17

***

Na4B7C: simulated PXRD pattern (a wavelength of 1.5418 Å), based on a cell relaxed with GGA-PBE.

Cell and atoms:
Cell lengths 17.5713, 5.1117, 6.0034 Å; angles 90.00, 99.84, 90.00 degrees
Space group C2 (No. 5)
Unique sites:
Na  0.1238  0.9997  0.0613
Na  0.1238  0.5000  0.8119
Na  0.1245  0.0004  0.5623
Na  0.1246  0.5002  0.3126
B  0.0005  0.1669  0.2507
B  0.0000  0.3334  0.0000
B  0.0000  0.3328  0.5000
B  0.0000  0.6673  0.0000
B  0.0000  0.6669  0.5000
B  0.0004  0.8331  0.2501
B  0.2500  0.1638  0.3849
B  0.2500  0.1967  0.8589
B  0.2499  0.3163  0.1223
C  0.2500  0.3233  0.6180

Principal peaks in the range 2θ from 15° to 90°, by angle:
index	2θ/deg	I/Imax
1 1 -2	34.66	41
5 1 -2	40.61	93
3 1 2	40.61	93
4 2 0	41.01	100
8 0 0	41.74	68
7 1 2	55.33	22
1 3 -2	62.70	33
11 1 2	75.43	23
2 2 4	76.88	24
7 3 2	78.18	32

***

Na10B17C3: simulated PXRD pattern (a wavelength of 1.5418 Å), based on a cell relaxed with GGA-PBE.

Cell and atoms:
Cell lengths 18.1619, 2.8260, 13.7891 Å; angles 90.00, 112.11, 90.00 degrees
Space group Cm (No. 8)
Unique sites:
Na  0.0000  0.0000  0.0000
Na  0.0004  0.0000  0.4973
Na  0.1002  0.5000  0.1989
Na  0.1011  0.5000  0.7008
Na  0.2002  0.0000  0.9020
Na  0.2015  0.0000  0.3987
Na  0.2993  0.5000  0.5993
Na  0.3006  0.5000  0.0998
Na  0.3992  0.0000  0.2978
Na  0.4006  0.0000  0.8006
B  0.0296  0.0000  0.3077
B  0.0299  0.0000  0.8101
B  0.0698  0.5000  0.3873
B  0.0722  0.5000  0.8945
B  0.1323  0.5000  0.5125
B  0.1388  0.5000  0.0262
B  0.1731  0.0000  0.5946
B  0.2297  0.0000  0.2070
B  0.2351  0.0000  0.7191
B  0.2696  0.5000  0.2874
B  0.2741  0.5000  0.7987
B  0.3355  0.5000  0.4191
B  0.3620  0.0000  0.9745
B  0.4246  0.0000  0.5982
B  0.4279  0.0000  0.1042
B  0.4662  0.5000  0.1806
B  0.4672  0.5000  0.6844
C  0.1701  0.0000  0.0876
C  0.3321  0.5000  0.9157
C  0.3669  0.0000  0.4821

Principal peaks in the range 2θ from 15° to 90°, by angle:
index	2θ/deg	I/Imax
2 0 4	33.55	14
1 1 2	35.95	17
2 0 -6	39.56	25
6 0 2	39.67	25
8 0 -4	41.58	37
5 1 0	41.71	100
9 1 -2	56.12	9
3 1 6	61.56	18
5 1 -10	76.94	9
11 1 2	77.15	9

***

Na4B7C: simulated PXRD pattern (a wavelength of 1.5418 Å), based on a cell relaxed with GGA-PBE.

Cell and atoms:
Cell lengths 5.3847, 2.8208, 17.3900 Å; angles 90.00, 90.02, 90.00 degrees
Space group P2_1/m (No. 11)
Unique sites:
Na  0.2481  0.2500  0.4992
Na  0.2486  0.2500  0.7502
Na  0.2498  0.2500  0.9999
Na  0.2497  0.2500  0.2506
B  0.0674  0.7500  0.3756
B  0.0943  0.7500  0.1257
B  0.0943  0.7500  0.8744
B  0.3839  0.7500  0.6245
B  0.4004  0.7500  0.3754
B  0.4052  0.7500  0.8747
B  0.4061  0.7500  0.1255
C  0.0887  0.7500  0.6242

Principal peaks in the range 2θ from 15° to 90°, by angle:
index	2θ/deg	I/Imax
2 0 0	33.28	14
1 1 0	35.94	17
2 0 -4	39.36	25
2 0 4	39.37	25
0 0 8	41.54	37
1 1 4	41.69	100
1 1 8	56.08	10
3 1 0	61.21	19
1 1 -12	75.90	13
3 1 8	76.70	18

***

Na8B15C: simulated PXRD pattern (a wavelength of 1.5418 Å), based on a cell relaxed with GGA-PBE.

Cell and atoms:
Cell lengths 2.9663, 34.5143, 5.2824 Å; angles 90.00, 90.00, 90.00 degrees
Space group Imm2 (No. 44)
Unique sites:
Na  0.0000  0.0623  0.0000
Na  0.0000  0.1874  0.9993
Na  0.0000  0.3126  0.9987
Na  0.0000  0.4371  0.9983
B  0.0000  0.0000  0.6353
B  0.0000  0.1248  0.3361
B  0.0000  0.1250  0.6619
B  0.0000  0.2501  0.3359
B  0.0000  0.2499  0.6619
B  0.0000  0.3751  0.3358
B  0.0000  0.3753  0.6625
B  0.0000  0.5000  0.3432
B  0.0000  0.5000  0.6779
C  0.0000  0.0000  0.3364

Principal peaks in the range 2θ from 15° to 90°, by angle:
index	2θ/deg	I/Imax
0 0 2	33.94	12
1 0 1	34.68	19
0 8 2	40.03	49
1 8 1	40.67	100
0 16 0	41.88	34
1 16 1	55.47	10
1 0 3	61.21	18
2 0 0	62.63	9
1 24 1	75.67	12
1 16 3	76.95	28

***

Na4B7C: simulated PXRD pattern (a wavelength of 1.5418 Å), based on a cell relaxed with GGA-PBE.

Cell and atoms:
Cell lengths 10.3125, 2.7572, 10.3158 Å; angles 90.00, 116.02, 90.00 degrees
Space group P2/m (No. 10)
Unique sites:
Na  0.0000  0.0000  0.0000
Na  0.0000  0.5000  0.5000
Na  0.2481  0.0000  0.7483
Na  0.2504  0.5000  0.2517
Na  0.5000  0.0000  0.5000
Na  0.5000  0.5000  0.0000
B  0.0440  0.5000  0.7928
B  0.0593  0.0000  0.3108
B  0.2006  0.5000  0.9502
B  0.2197  0.0000  0.4698
B  0.3032  0.0000  0.0537
B  0.4382  0.5000  0.6870
B  0.4591  0.0000  0.2107
C  0.2956  0.5000  0.5447

Principal peaks in the range 2θ from 15° to 90°, by angle:
index	2θ/deg	I/Imax
2 0 2	32.78	16
1 1 1	36.50	16
4 0 0	38.86	52
4 0 -4	41.28	39
3 1 -1	42.12	100
3 1 -5	56.27	10
3 1 3	60.96	19
7 1 -5	75.84	14
7 1 -1	76.30	18
4 2 0	81.19	9

***

Repeat the fifth record exactly.
Na10B17C3: simulated PXRD pattern (a wavelength of 1.5418 Å), based on a cell relaxed with GGA-PBE.

Cell and atoms:
Cell lengths 18.1619, 2.8260, 13.7891 Å; angles 90.00, 112.11, 90.00 degrees
Space group Cm (No. 8)
Unique sites:
Na  0.0000  0.0000  0.0000
Na  0.0004  0.0000  0.4973
Na  0.1002  0.5000  0.1989
Na  0.1011  0.5000  0.7008
Na  0.2002  0.0000  0.9020
Na  0.2015  0.0000  0.3987
Na  0.2993  0.5000  0.5993
Na  0.3006  0.5000  0.0998
Na  0.3992  0.0000  0.2978
Na  0.4006  0.0000  0.8006
B  0.0296  0.0000  0.3077
B  0.0299  0.0000  0.8101
B  0.0698  0.5000  0.3873
B  0.0722  0.5000  0.8945
B  0.1323  0.5000  0.5125
B  0.1388  0.5000  0.0262
B  0.1731  0.0000  0.5946
B  0.2297  0.0000  0.2070
B  0.2351  0.0000  0.7191
B  0.2696  0.5000  0.2874
B  0.2741  0.5000  0.7987
B  0.3355  0.5000  0.4191
B  0.3620  0.0000  0.9745
B  0.4246  0.0000  0.5982
B  0.4279  0.0000  0.1042
B  0.4662  0.5000  0.1806
B  0.4672  0.5000  0.6844
C  0.1701  0.0000  0.0876
C  0.3321  0.5000  0.9157
C  0.3669  0.0000  0.4821

Principal peaks in the range 2θ from 15° to 90°, by angle:
index	2θ/deg	I/Imax
2 0 4	33.55	14
1 1 2	35.95	17
2 0 -6	39.56	25
6 0 2	39.67	25
8 0 -4	41.58	37
5 1 0	41.71	100
9 1 -2	56.12	9
3 1 6	61.56	18
5 1 -10	76.94	9
11 1 2	77.15	9